The following is a simulated X-ray diffraction stick pattern of Li4Mn5SbO12. It was derived from the GGA+U geometry in Alexandria, using Cu Kα X-rays.

Structure:
```
data_Li4Mn5SbO12
_chemical_formula_sum 'Li8 Mn10 Sb2 O24'
_space_group_name_H-M_alt 'C 1 2/m 1'
_space_group_IT_number 12
_space_group_name_Hall '-C 2y'
_cell_length_a 5.528
_cell_length_b 8.978
_cell_length_c 10.667
_cell_angle_alpha 90.00
_cell_angle_beta 100.49
_cell_angle_gamma 90.00
loop_
_atom_site_label
_atom_site_type_symbol
_atom_site_fract_x
_atom_site_fract_y
_atom_site_fract_z
Li1 Li 0.246 0.176 0.290
Mn1 Mn 0.000 0.164 0.500
Mn2 Mn 0.000 0.334 0.000
Mn3 Mn 0.000 0.500 0.500
Sb1 Sb 0.000 0.000 0.000
O1 O 0.087 0.318 0.391
O2 O 0.154 0.000 0.410
O3 O 0.173 0.168 0.104
O4 O 0.202 0.500 0.088
```

The 8 most intense peaks (5 to 70 degrees two-theta), most intense first:
| h k l | 2θ/deg | d [Å] | I_rel |
| --- | --- | --- | --- |
| 0 0 2 | 16.9 | 5.244 | 100 |
| 2 0 -2 | 34.3 | 2.618 | 19 |
| 1 3 -3 | 41.2 | 2.192 | 18 |
| 1 3 1 | 36.0 | 2.492 | 17 |
| 1 3 3 | 45.0 | 2.014 | 15 |
| 1 3 -1 | 34.5 | 2.598 | 12 |
| 1 3 -5 | 53.5 | 1.713 | 11 |
| 2 0 0 | 33.0 | 2.718 | 10 |